Structure and calculated PXRD pattern of La8Ge3CI3 (a cell relaxed with PBE; Cu Kα).

Cell and atoms:
```
La8Ge3CI3
1.0
4.3462 2.5093 7.9048
-4.3462 2.5093 7.9048
0.0000 -5.0186 7.9048
La Ge C I
8 3 1 3
Cartesian
0.0000 0.0000 5.5638
-1.9454 -1.1232 13.3341
0.0000 -2.2463 10.3802
-1.9454 1.1232 10.3802
1.9454 -1.1232 13.3341
0.0000 2.2463 13.3341
1.9454 1.1232 10.3802
0.0000 0.0000 18.1505
-4.3462 0.0000 11.8571
-2.1731 1.2546 3.9524
2.1731 1.2547 3.9524
0.0000 0.0000 11.8572
-2.1731 -1.2547 7.9048
-2.1731 1.2546 15.8095
0.0000 2.5093 7.9048
```

Main lines, in order of falling intensity (2θ from 10° to 80°):
3.178 Å, intensity 100.0; 2.173 Å, intensity 36.7; 2.329 Å, intensity 25.1; 2.948 Å, intensity 19.2; 1.794 Å, intensity 16.4; 1.677 Å, intensity 13.0; 1.383 Å, intensity 12.5; 7.175 Å, intensity 10.6; 2.635 Å, intensity 10.4; 2.518 Å, intensity 9.6